Starting from the PBE geometry in Alexandria, the PXRD pattern of Li2MnPbCl8 was computed for Cu Ka.
No peak broadening, texture or thermal motion is included.

Main lines, in order of rising 2θ (10 to 90 degrees two-theta):
| index | two_theta | Rel. int. |
| --- | --- | --- |
| 1 0 0 | 14.1 | 88.2 |
| 0 1 0 | 14.4 | 100.0 |
| 1 1 0 | 18.4 | 67.1 |
| 1 -1 0 | 22.0 | 39.6 |
| 0 1 2 | 22.4 | 25.4 |
| 0 0 2 | 23.8 | 32.8 |
| 1 1 2 | 25.7 | 21.3 |
| 1 2 2 | 30.9 | 45.6 |
| 1 1 -2 | 34.3 | 76.5 |
| 1 -2 0 | 34.7 | 21.2 |

Structural model:
Cell lengths 6.366, 6.777, 8.143 Å; angles 66.74, 87.74, 79.99 degrees
Sites, in units of the cell vectors:
Li 0.024 0.174 0.304
Li 0.976 0.826 0.696
Mn 0.500 0.500 0.000
Pb 0.500 0.500 0.500
Cl 0.096 0.784 0.432
Cl 0.185 0.730 0.964
Cl 0.356 0.311 0.868
Cl 0.395 0.268 0.276
Cl 0.605 0.732 0.724
Cl 0.644 0.689 0.132
Cl 0.815 0.270 0.036
Cl 0.904 0.216 0.568